Starting from DFT lattice parameters and positions (PBE), the XRD peak list of La12Dy7Mg was computed for λ = 1.5418 Å (Cu Kα).
Lines closer than 0.1° are merged.

Top 8 peaks for 10 to 80 degrees two-theta, by angle:
d/Å  I (rel.)
3.325  22.8
3.283  30.3
3.000  100.0
2.957  33.0
2.756  28.7
2.731  29.0
2.315  30.7
1.970  25.7

Atomic structure:
abc: 11.565 11.565 11.565
angles: 116.77 116.77 116.77
Positions (direct):
La (0.000, 0.409, 0.591)
La (0.000, 0.591, 0.409)
La (0.074, 0.074, 0.425)
La (0.074, 0.425, 0.074)
La (0.409, 0.000, 0.591)
La (0.409, 0.591, 0.000)
La (0.425, 0.074, 0.074)
La (0.575, 0.926, 0.926)
La (0.591, 0.000, 0.409)
La (0.591, 0.409, 0.000)
La (0.926, 0.575, 0.926)
La (0.926, 0.926, 0.575)
Dy (0.000, 0.000, 0.000)
Dy (0.149, 0.391, 0.391)
Dy (0.391, 0.149, 0.391)
Dy (0.391, 0.391, 0.149)
Dy (0.609, 0.609, 0.851)
Dy (0.609, 0.851, 0.609)
Dy (0.851, 0.609, 0.609)
Mg (0.500, 0.500, 0.500)


Starting from DFT lattice parameters and positions (PBE), the XRD peak list of Ca2NpReN6 was computed for λ = 1.5418 Å (Cu Kα).
Lines closer than 0.1° are merged.

Top 8 peaks for 10 to 80 degrees two-theta, by angle:
d/Å  I (rel.)
4.139  65.5
4.050  64.3
3.992  64.4
2.906  52.3
2.883  100.0
2.859  94.7
2.832  48.2
1.654  30.8

Atomic structure:
abc: 5.664 5.711 5.730
angles: 118.91 119.18 90.82
Positions (direct):
Ca (0.000, 0.000, 0.000)
Ca (0.491, 0.470, 0.968)
Np (0.259, 0.745, 0.502)
Re (0.733, 0.218, 0.454)
N (0.006, 0.578, 0.038)
N (0.045, 0.440, 0.502)
N (0.068, 0.035, 0.623)
N (0.506, 0.440, 0.414)
N (0.560, 0.930, 0.030)
N (0.575, 0.041, 0.591)


Starting from DFT lattice parameters and positions (PBE), the XRD peak list of Tb3Nd5Tl was computed for λ = 1.5418 Å (Cu Kα).
Lines closer than 0.1° are merged.

Top 8 peaks for 10 to 80 degrees two-theta, by angle:
d/Å  I (rel.)
4.058  55.4
3.291  100.0
3.095  62.7
2.892  50.7
2.852  53.0
2.814  79.9
2.693  31.4
2.506  38.3

Atomic structure:
abc: 8.019 8.019 11.474
angles: 95.33 95.33 60.80
Positions (direct):
Tb (0.000, 0.000, 0.000)
Tb (0.000, 0.000, 0.500)
Tb (0.258, 0.258, 0.474)
Tb (0.331, 0.331, 0.782)
Tb (0.669, 0.669, 0.218)
Tb (0.742, 0.742, 0.526)
Nd (0.088, 0.661, 0.246)
Nd (0.238, 0.238, 0.038)
Nd (0.331, 0.669, 0.000)
Nd (0.339, 0.912, 0.754)
Nd (0.492, 0.492, 0.629)
Nd (0.508, 0.508, 0.371)
Nd (0.661, 0.088, 0.246)
Nd (0.669, 0.331, 0.000)
Nd (0.762, 0.762, 0.962)
Nd (0.912, 0.339, 0.754)
Tl (0.097, 0.097, 0.259)
Tl (0.903, 0.903, 0.741)